1.
For CuSb3P6O24, a cell relaxed with GGA-PBE gives the simulated X-ray diffraction stick pattern in this record (Cu Kα, 1.54184 Å).

a = 8.876 Å, b = 8.876 Å, c = 8.876 Å
α = 57.96°, β = 57.96°, γ = 57.96°
Element x y z (fractional)
Cu: 0.000 0.000 0.000
Sb: 0.212 0.212 0.212
Sb: 0.499 0.499 0.499
Sb: 0.712 0.712 0.712
P: 0.104 0.387 0.819
P: 0.312 0.895 0.611
P: 0.387 0.819 0.104
P: 0.611 0.312 0.895
P: 0.819 0.104 0.387
P: 0.895 0.611 0.312
O: 0.073 0.429 0.299
O: 0.081 0.220 0.841
O: 0.130 0.371 0.988
O: 0.135 0.913 0.782
O: 0.220 0.841 0.081
O: 0.279 0.416 0.637
O: 0.299 0.073 0.429
O: 0.342 0.722 0.578
O: 0.371 0.988 0.130
O: 0.416 0.637 0.279
O: 0.429 0.299 0.073
O: 0.491 0.869 0.627
O: 0.575 0.796 0.931
O: 0.578 0.342 0.722
O: 0.627 0.491 0.869
O: 0.637 0.279 0.416
O: 0.722 0.578 0.342
O: 0.782 0.135 0.913
O: 0.796 0.931 0.575
O: 0.841 0.081 0.220
O: 0.869 0.627 0.491
O: 0.913 0.782 0.135
O: 0.931 0.575 0.796
O: 0.988 0.130 0.371

Principal peaks in the range 10 to 80 degrees two-theta, in order of rising 2θ:
| 2θ/deg | d [Å] | Rel. int. |
| --- | --- | --- |
| 14.3 | 6.174 | 42 |
| 20.0 | 4.434 | 100 |
| 20.7 | 4.301 | 73 |
| 24.0 | 3.713 | 56 |
| 28.9 | 3.087 | 65 |
| 32.0 | 2.795 | 55 |
| 35.8 | 2.508 | 28 |
| 36.2 | 2.483 | 27 |
| 52.7 | 1.737 | 22 |
| 56.6 | 1.626 | 19 |


2.
For NbOF3, a cell relaxed with GGA-PBE gives the simulated X-ray diffraction stick pattern in this record (Cu Kα, 1.54184 Å).

a = 6.698 Å, b = 7.812 Å, c = 8.753 Å
α = 98.80°, β = 111.09°, γ = 108.59°
Element x y z (fractional)
Nb: 0.014 0.040 0.209
Nb: 0.161 0.395 0.631
Nb: 0.839 0.605 0.369
Nb: 0.986 0.960 0.791
O: 0.068 0.186 0.700
O: 0.084 0.234 0.391
O: 0.916 0.766 0.609
O: 0.932 0.814 0.300
F: 0.061 0.177 0.041
F: 0.172 0.612 0.494
F: 0.217 0.585 0.823
F: 0.313 0.029 0.272
F: 0.316 0.043 0.910
F: 0.482 0.453 0.693
F: 0.518 0.547 0.307
F: 0.684 0.957 0.090
F: 0.687 0.971 0.728
F: 0.783 0.415 0.177
F: 0.828 0.388 0.506
F: 0.939 0.823 0.959

Principal peaks in the range 10 to 80 degrees two-theta, in order of rising 2θ:
| 2θ/deg | d [Å] | Rel. int. |
| --- | --- | --- |
| 14.2 | 6.254 | 24 |
| 14.7 | 6.027 | 15 |
| 15.5 | 5.714 | 100 |
| 17.4 | 5.095 | 16 |
| 19.4 | 4.583 | 20 |
| 21.2 | 4.200 | 27 |
| 25.1 | 3.548 | 31 |
| 25.9 | 3.434 | 13 |
| 28.6 | 3.126 | 37 |
| 43.9 | 2.061 | 15 |


3.
For TbSnIr, a cell relaxed with GGA-PBE gives the simulated X-ray diffraction stick pattern in this record (Cu Kα, 1.54184 Å).

a = 7.489 Å, b = 7.489 Å, c = 3.982 Å
α = 90.00°, β = 90.00°, γ = 120.00°
Element x y z (fractional)
Tb: 0.000 0.593 0.000
Tb: 0.407 0.407 0.000
Tb: 0.593 0.000 0.000
Sn: 0.000 0.257 0.500
Sn: 0.257 0.000 0.500
Sn: 0.743 0.743 0.500
Ir: 0.000 0.000 0.000
Ir: 0.333 0.667 0.500
Ir: 0.667 0.333 0.500

Principal peaks in the range 10 to 80 degrees two-theta, in order of rising 2θ:
| 2θ/deg | d [Å] | Rel. int. |
| --- | --- | --- |
| 23.8 | 3.745 | 14 |
| 32.8 | 2.728 | 81 |
| 35.7 | 2.515 | 100 |
| 36.7 | 2.451 | 34 |
| 41.8 | 2.162 | 47 |
| 43.3 | 2.088 | 38 |
| 45.6 | 1.991 | 27 |
| 59.8 | 1.546 | 17 |
| 63.5 | 1.465 | 27 |
| 67.2 | 1.394 | 34 |


4.
For Ca7Cu17O24, a cell relaxed with GGA-PBE gives the simulated X-ray diffraction stick pattern in this record (Cu Kα, 1.54184 Å).

a = 9.897 Å, b = 16.437 Å, c = 3.641 Å
α = 90.00°, β = 90.00°, γ = 90.00°
Element x y z (fractional)
Ca: 0.000 0.000 0.000
Ca: 0.000 0.253 0.987
Ca: 0.000 0.747 0.987
Ca: 0.500 0.126 0.713
Ca: 0.500 0.375 0.705
Ca: 0.500 0.625 0.705
Ca: 0.500 0.874 0.713
Cu: 0.000 0.500 0.893
Cu: 0.160 0.379 0.500
Cu: 0.160 0.621 0.500
Cu: 0.164 0.126 0.501
Cu: 0.164 0.874 0.501
Cu: 0.332 0.252 0.212
Cu: 0.332 0.500 0.197
Cu: 0.332 0.748 0.212
Cu: 0.335 0.000 0.211
Cu: 0.665 0.000 0.211
Cu: 0.668 0.252 0.212
Cu: 0.668 0.500 0.197
Cu: 0.668 0.748 0.212
Cu: 0.836 0.126 0.501
Cu: 0.836 0.874 0.501
Cu: 0.840 0.379 0.500
Cu: 0.840 0.621 0.500
O: 0.000 0.125 0.761
O: 0.000 0.386 0.790
O: 0.000 0.614 0.790
O: 0.000 0.875 0.761
O: 0.163 0.255 0.468
O: 0.163 0.745 0.468
O: 0.165 0.500 0.440
O: 0.168 0.000 0.470
O: 0.329 0.378 0.240
O: 0.329 0.622 0.240
O: 0.331 0.126 0.243
O: 0.331 0.874 0.243
O: 0.500 0.000 0.954
O: 0.500 0.251 0.966
O: 0.500 0.500 0.949
O: 0.500 0.749 0.966
O: 0.669 0.126 0.243
O: 0.669 0.874 0.243
O: 0.671 0.378 0.240
O: 0.671 0.622 0.240
O: 0.832 0.000 0.470
O: 0.835 0.500 0.440
O: 0.837 0.255 0.468
O: 0.837 0.745 0.468

Principal peaks in the range 10 to 80 degrees two-theta, in order of rising 2θ:
| 2θ/deg | d [Å] | Rel. int. |
| --- | --- | --- |
| 24.5 | 3.641 | 26 |
| 30.5 | 2.933 | 71 |
| 32.9 | 2.725 | 97 |
| 34.9 | 2.573 | 89 |
| 36.8 | 2.445 | 100 |
| 44.1 | 2.055 | 66 |
| 44.3 | 2.046 | 26 |
| 51.0 | 1.790 | 25 |
| 55.7 | 1.649 | 30 |
| 58.7 | 1.573 | 45 |


5.
For Rb2Ba8CaSb6O2, a cell relaxed with GGA-PBE gives the simulated X-ray diffraction stick pattern in this record (Cu Kα, 1.54184 Å).

a = 9.649 Å, b = 9.651 Å, c = 10.417 Å
α = 62.64°, β = 62.58°, γ = 80.48°
Element x y z (fractional)
Rb: 0.000 0.000 0.000
Rb: 0.474 0.527 0.999
Ba: 0.026 0.242 0.288
Ba: 0.203 0.730 0.307
Ba: 0.222 0.425 0.753
Ba: 0.550 0.077 0.651
Ba: 0.553 0.079 0.248
Ba: 0.716 0.553 0.288
Ba: 0.798 0.324 0.702
Ba: 0.900 0.750 0.753
Ca: 0.298 0.822 0.645
Sb: 0.112 0.638 0.015
Sb: 0.236 0.220 0.522
Sb: 0.369 0.126 0.012
Sb: 0.600 0.895 0.012
Sb: 0.696 0.764 0.521
Sb: 0.832 0.359 0.015
O: 0.187 0.712 0.569
O: 0.764 0.291 0.490

Principal peaks in the range 10 to 80 degrees two-theta, in order of rising 2θ:
| 2θ/deg | d [Å] | Rel. int. |
| --- | --- | --- |
| 23.8 | 3.739 | 66 |
| 26.9 | 3.319 | 95 |
| 27.0 | 3.298 | 46 |
| 27.3 | 3.265 | 53 |
| 28.0 | 3.189 | 100 |
| 28.3 | 3.152 | 97 |
| 31.2 | 2.867 | 63 |
| 31.4 | 2.851 | 33 |
| 43.6 | 2.078 | 30 |
| 58.3 | 1.582 | 29 |


6.
For NiTe, a cell relaxed with GGA-PBE gives the simulated X-ray diffraction stick pattern in this record (Cu Kα, 1.54184 Å).

a = 7.058 Å, b = 7.058 Å, c = 7.058 Å
α = 31.71°, β = 31.71°, γ = 31.71°
Element x y z (fractional)
Ni: 0.132 0.132 0.132
Ni: 0.868 0.868 0.868
Te: 0.258 0.258 0.258
Te: 0.742 0.742 0.742

Principal peaks in the range 10 to 80 degrees two-theta, in order of rising 2θ:
| 2θ/deg | d [Å] | Rel. int. |
| --- | --- | --- |
| 26.6 | 3.349 | 24 |
| 28.2 | 3.169 | 100 |
| 34.9 | 2.569 | 15 |
| 41.5 | 2.177 | 22 |
| 45.2 | 2.007 | 50 |
| 47.1 | 1.928 | 52 |
| 53.2 | 1.722 | 18 |
| 54.9 | 1.671 | 19 |
| 55.8 | 1.647 | 14 |
| 67.3 | 1.391 | 15 |


Please write out number 2 again, unchanged.
For NbOF3, a cell relaxed with GGA-PBE gives the simulated X-ray diffraction stick pattern in this record (Cu Kα, 1.54184 Å).

a = 6.698 Å, b = 7.812 Å, c = 8.753 Å
α = 98.80°, β = 111.09°, γ = 108.59°
Element x y z (fractional)
Nb: 0.014 0.040 0.209
Nb: 0.161 0.395 0.631
Nb: 0.839 0.605 0.369
Nb: 0.986 0.960 0.791
O: 0.068 0.186 0.700
O: 0.084 0.234 0.391
O: 0.916 0.766 0.609
O: 0.932 0.814 0.300
F: 0.061 0.177 0.041
F: 0.172 0.612 0.494
F: 0.217 0.585 0.823
F: 0.313 0.029 0.272
F: 0.316 0.043 0.910
F: 0.482 0.453 0.693
F: 0.518 0.547 0.307
F: 0.684 0.957 0.090
F: 0.687 0.971 0.728
F: 0.783 0.415 0.177
F: 0.828 0.388 0.506
F: 0.939 0.823 0.959

Principal peaks in the range 10 to 80 degrees two-theta, in order of rising 2θ:
| 2θ/deg | d [Å] | Rel. int. |
| --- | --- | --- |
| 14.2 | 6.254 | 24 |
| 14.7 | 6.027 | 15 |
| 15.5 | 5.714 | 100 |
| 17.4 | 5.095 | 16 |
| 19.4 | 4.583 | 20 |
| 21.2 | 4.200 | 27 |
| 25.1 | 3.548 | 31 |
| 25.9 | 3.434 | 13 |
| 28.6 | 3.126 | 37 |
| 43.9 | 2.061 | 15 |